(1)
Tb3Er3Ge4: simulated powder diffractogram (a wavelength of 1.5418 Å), based on a structure optimized by DFT (PBE).
Peak positions follow from Bragg's law for the DFT cell and can differ from measured ones.

Principal peaks in the range 15° ≤ 2θ ≤ 90°, in order of rising 2θ:
(hkl)	2theta	d [Å]	Rel. int.
1 2 0	26.81	3.326	201
1 2 2	31.69	2.823	616
1 1 3	33.89	2.645	1000
0 2 4	37.65	2.389	492
2 0 0	42.55	2.125	233
2 2 4	58.10	1.588	279

Structural model:
```
data_Tb3Er3Ge4
_chemical_formula_sum 'Tb6 Er6 Ge8'
_symmetry_space_group_name_H-M 'A m m 2'
_symmetry_Int_Tables_number 38
_symmetry_space_group_name_Hall 'A 2 -2'
_cell_length_a 4.249
_cell_length_b 10.675
_cell_length_c 10.696
_cell_angle_alpha 90.00
_cell_angle_beta 90.00
_cell_angle_gamma 90.00
loop_
_atom_site_label
_atom_site_type_symbol
_atom_site_fract_x
_atom_site_fract_y
_atom_site_fract_z
_atom_site_occupancy
Tb1 Tb 0.000 0.000 0.000 1
Tb2 Tb 0.000 0.173 0.672 1
Er1 Er 0.000 0.000 0.345 1
Er2 Er 0.500 0.250 0.422 1
Ge1 Ge 0.500 0.000 0.545 1
Ge2 Ge 0.500 0.000 0.797 1
Ge3 Ge 0.500 0.125 0.174 1
```

***

(2)
Er3GeTe2: simulated powder diffractogram (a wavelength of 1.5418 Å), based on a structure optimized by DFT (PBE).
Peak positions follow from Bragg's law for the DFT cell and can differ from measured ones.

Principal peaks in the range 15° ≤ 2θ ≤ 90°, in order of rising 2θ:
(hkl)	2theta	d [Å]	Rel. int.
2 0 -2	29.52	3.026	505
1 3 1	29.66	3.012	1000
3 3 -1	42.06	2.148	340
2 0 2	42.36	2.134	178
1 3 -3	42.59	2.123	563
2 6 -2	52.61	1.740	184

Structural model:
```
data_Er3GeTe2
_chemical_formula_sum 'Er12 Ge4 Te8'
_symmetry_space_group_name_H-M 'C 1 2/c 1'
_symmetry_Int_Tables_number 15
_symmetry_space_group_name_Hall '-C 2yc'
_cell_length_a 7.468
_cell_length_b 12.756
_cell_length_c 7.343
_cell_angle_alpha 90.00
_cell_angle_beta 109.62
_cell_angle_gamma 90.00
loop_
_atom_site_label
_atom_site_type_symbol
_atom_site_fract_x
_atom_site_fract_y
_atom_site_fract_z
_atom_site_occupancy
Er1 Er 0.215 0.073 0.493 1
Er2 Er 0.250 0.250 0.000 1
Ge1 Ge 0.000 0.091 0.750 1
Te1 Te 0.000 0.260 0.250 1
Te2 Te 0.000 0.419 0.750 1
```

***

(3)
ErGeTe4: simulated powder diffractogram (a wavelength of 1.5418 Å), based on a structure optimized by DFT (PBE).
Peak positions follow from Bragg's law for the DFT cell and can differ from measured ones.

Principal peaks in the range 15° ≤ 2θ ≤ 90°, in order of rising 2θ:
(hkl)	2theta	d [Å]	Rel. int.
2 0 0	17.23	5.146	390
0 0 2	17.66	5.021	477
2 2 1	29.54	3.024	774
1 1 3	30.19	2.960	555
4 0 0	34.87	2.573	411
2 2 3	39.13	2.302	1000

Structural model:
```
data_ErGeTe4
_chemical_formula_sum 'Er4 Ge4 Te16'
_symmetry_space_group_name_H-M 'C m c m'
_symmetry_Int_Tables_number 63
_symmetry_space_group_name_Hall '-C 2c 2'
_cell_length_a 10.292
_cell_length_b 8.054
_cell_length_c 10.042
_cell_angle_alpha 90.00
_cell_angle_beta 90.00
_cell_angle_gamma 90.00
loop_
_atom_site_label
_atom_site_type_symbol
_atom_site_fract_x
_atom_site_fract_y
_atom_site_fract_z
_atom_site_occupancy
Er1 Er 0.000 0.124 0.250 1
Ge1 Ge 0.000 0.420 0.750 1
Te1 Te 0.000 0.182 0.560 1
Te2 Te 0.210 0.401 0.250 1
```